Entry 1:
# Pm7Sm3
Calculated powder diffraction line list, Cu Kα (λ = 1.5418 Å). Input: a DFT-relaxed cell (GGA-PBE, Alexandria).

Peak list (10 most intense, 10° ≤ 2θ ≤ 90°, in order of falling intensity)
(5 1 0), 30.05 deg, I = 100; (4 0 2), 34.84 deg, I = 51; (10 0 0), 50.10 deg, I = 36; (9 1 2), 59.50 deg, I = 29; (5 3 0), 59.59 deg, I = 14; (10 2 0), 62.47 deg, I = 12; (8 2 4), 84.10 deg, I = 10; (15 1 0), 81.42 deg, I = 9; (9 3 2), 81.49 deg, I = 9; (14 0 2), 83.96 deg, I = 7

Unit cell a=18.593 b=5.144 c=7.284 alpha=90.00 beta=101.36 gamma=90.00
Space group C2/m (No. 12)
Inequivalent atoms, fractional coordinates:
Pm (0.000, 0.000, 0.000) (multiplicity 2)
Pm (0.100, 0.500, 0.300) (multiplicity 4)
Pm (0.100, 0.500, 0.800) (multiplicity 4)
Pm (0.200, 0.000, 0.600) (multiplicity 4)
Sm (0.000, 0.000, 0.500) (multiplicity 2)
Sm (0.200, 0.000, 0.100) (multiplicity 4)

=====

Entry 2:
# La6Sn3Te
Calculated powder diffraction line list, Cu Kα (λ = 1.5418 Å). Input: a DFT-relaxed cell (GGA-PBE, Alexandria).

Peak list (10 most intense, 10° ≤ 2θ ≤ 90°, in order of falling intensity)
(3 3 1), 30.44 deg, I = 100; (2 2 2), 29.21 deg, I = 79; (3 1 2), 32.10 deg, I = 62; (0 4 2), 32.32 deg, I = 56; (3 5 0), 36.93 deg, I = 43; (2 2 1), 21.80 deg, I = 39; (3 1 1), 25.49 deg, I = 35; (2 4 1), 29.82 deg, I = 35; (6 0 0), 45.18 deg, I = 32; (3 1 3), 40.97 deg, I = 24

Unit cell a=12.042 b=15.310 c=8.025 alpha=90.00 beta=90.00 gamma=90.00
Space group Cmc2_1 (No. 36)
Inequivalent atoms, fractional coordinates:
La (0.000, 0.002, 0.000) (multiplicity 4)
La (0.000, 0.263, 0.889) (multiplicity 4)
La (0.177, 0.275, 0.479) (multiplicity 8)
La (0.181, 0.455, 0.895) (multiplicity 8)
Sn (0.000, 0.422, 0.598) (multiplicity 4)
Sn (0.172, 0.109, 0.731) (multiplicity 8)
Te (0.000, 0.167, 0.251) (multiplicity 4)

=====

Entry 3:
# CsB3H12
Calculated powder diffraction line list, Cu Kα (λ = 1.5418 Å). Input: a DFT-relaxed cell (GGA-PBE, Alexandria).

Peak list (10 most intense, 10° ≤ 2θ ≤ 90°, in order of falling intensity)
(0 1 2), 15.62 deg, I = 100; (1 0 4), 20.13 deg, I = 52; (2 0 2), 28.80 deg, I = 40; (1 1 6), 32.77 deg, I = 39; (1 1 0), 24.04 deg, I = 34; (0 2 4), 31.55 deg, I = 28; (1 2 2), 37.85 deg, I = 23; (0 1 8), 32.60 deg, I = 22; (2 1 4), 40.05 deg, I = 22; (0 0 6), 21.93 deg, I = 21

Unit cell a=7.4046 b=7.4046 c=24.3133 alpha=90.00 beta=90.00 gamma=120.00
Space group R3c (No. 161, hexagonal axes)
Inequivalent atoms, fractional coordinates:
Cs (0.0000, 0.0000, 0.0000) (multiplicity 6)
B (0.1469, 0.3611, 0.2966) (multiplicity 18)
H (0.0055, 0.4253, 0.0103) (multiplicity 18)
H (0.0305, 0.3600, 0.2614) (multiplicity 18)
H (0.0343, 0.2866, 0.7795) (multiplicity 18)
H (0.1290, 0.0042, 0.1320) (multiplicity 18)